Diffraction record for NiAs6Os. The X-ray powder pattern is calculated, not measured: it uses a PBE-relaxed structure and a wavelength of 1.5418 Å.

Atomic structure:
```
NiAs6Os
1.0
5.962 -4.260 0.000
5.962 4.260 0.000
-5.961 0.000 6.037
Ni As Os
2 12 2
Cartesian
2.981 2.130 0.000
2.981 -2.130 0.000
0.933 1.266 0.918
3.846 2.949 2.100
2.117 2.949 3.937
0.933 -1.266 0.918
4.151 0.000 0.012
0.062 0.000 4.214
5.901 0.000 1.823
1.813 0.000 6.025
5.030 1.266 5.119
3.846 -2.949 2.100
2.117 -2.949 3.937
5.030 -1.266 5.119
0.001 2.130 3.018
0.001 -2.130 3.018
```

Most intense lines, 2θ from 10° to 90°, by angle:
2θ = 20.9°, I 100; 2θ = 33.3°, I 100; 2θ = 33.4°, I 68; 2θ = 33.5°, I 53; 2θ = 39.6°, I 52; 2θ = 47.8°, I 87; 2θ = 47.9°, I 57; 2θ = 52.6°, I 53